K2RuO3: computed XRD peak list (CuKα), based on a PBE-relaxed structure.

Largest 10 diffraction maxima, low angle first, 2θ from 15° to 90°:
- 15.46°, I = 100
- 17.90°, I = 41
- 29.70°, I = 65
- 29.89°, I = 42
- 30.74°, I = 35
- 31.27°, I = 47
- 35.98°, I = 31
- 39.50°, I = 43
- 51.93°, I = 21
- 61.44°, I = 17

Structural model:
```
12
Lattice="5.040 -3.514 0.000 5.040 3.514 0.000 -1.082 0.000 5.818" Properties=species:S:1:pos:R:3 pbc="T T T"
K 1.429 0.974 1.172
K 0.888 -0.974 4.080
K 8.110 0.974 1.737
K 7.569 -0.974 4.646
Ru 4.769 0.516 1.454
Ru 4.228 -0.516 4.363
O 4.769 2.398 1.454
O 3.281 0.372 2.977
O 3.822 -0.372 0.068
O 5.176 0.372 5.749
O 5.717 -0.372 2.840
O 4.228 -2.398 4.363
```